[1]
The following is a simulated X-ray diffraction stick pattern of Pr3Mg3InAgHg. It was derived from a PBE-relaxed structure, using Cu Kα (weighted mean of Kα1 and Kα2).

Structural model:
Lattice parameters (Å, degrees): 7.764 7.764 4.597 90.00 90.00 120.00
Atoms (fractional coordinates):
Pr  0.001  0.588  0.000
Pr  0.412  0.413  0.000
Pr  0.587  0.999  0.000
Mg  0.000  0.238  0.500
Mg  0.237  0.000  0.500
Mg  0.762  0.763  0.500
In  0.667  0.333  0.500
Ag  0.000  0.000  0.000
Hg  0.333  0.667  0.500

Largest 10 diffraction maxima, sorted by position, 5° ≤ 2θ ≤ 70°:
| 2θ (°) | d [Å] | Rel. int. |
| --- | --- | --- |
| 13.17 | 6.723 | 23 |
| 22.91 | 3.882 | 40 |
| 30.13 | 2.966 | 90 |
| 33.01 | 2.714 | 100 |
| 35.32 | 2.541 | 21 |
| 39.19 | 2.298 | 28 |
| 40.24 | 2.241 | 33 |
| 40.56 | 2.224 | 31 |
| 57.43 | 1.605 | 23 |
| 63.63 | 1.462 | 24 |

[2]
The following is a simulated X-ray diffraction stick pattern of Pr2NdAgHg3Ir2. It was derived from a PBE-relaxed structure, using Cu Kα (weighted mean of Kα1 and Kα2).

Structural model:
Lattice parameters (Å, degrees): 3.909 7.893 7.893 119.91 90.00 90.00
Atoms (fractional coordinates):
Pr  0.000  0.206  0.794
Pr  0.000  0.794  0.206
Nd  0.000  0.618  0.618
Ag  0.000  0.206  0.206
Hg  0.500  0.207  0.474
Hg  0.500  0.474  0.207
Hg  0.500  0.938  0.938
Ir  0.500  0.539  0.871
Ir  0.500  0.871  0.539

Largest 10 diffraction maxima, sorted by position, 5° ≤ 2θ ≤ 70°:
| 2θ (°) | d [Å] | Rel. int. |
| --- | --- | --- |
| 22.75 | 3.909 | 13 |
| 32.22 | 2.778 | 100 |
| 34.70 | 2.585 | 54 |
| 34.86 | 2.574 | 84 |
| 39.53 | 2.280 | 50 |
| 41.90 | 2.156 | 33 |
| 46.46 | 1.955 | 25 |
| 59.27 | 1.559 | 24 |
| 62.60 | 1.484 | 26 |
| 63.94 | 1.456 | 38 |